Entry 1:
Starting from a cell relaxed with PBE, the powder XRD pattern of Ge2Mo4Se3 was calculated for copper Kα.

Largest 6 diffraction maxima, by angle, 15° ≤ 2θ ≤ 90°:
- (2 0 -1), 2θ 22.7, rel. 23
- (2 0 -3), 2θ 35.0, rel. 44
- (1 1 1), 2θ 37.2, rel. 77
- (0 1 2), 2θ 39.5, rel. 100
- (3 0 0), 2θ 39.8, rel. 61
- (0 1 3), 2θ 50.0, rel. 36

Structure:
Lattice parameters (Å, degrees): 7.8357 3.0750 7.8385 90.00 119.88 90.00
Space group Pm (No. 6)
Inequivalent atoms, fractional coordinates:
Ge 0.0000 0.0000 0.0000 (multiplicity 1)
Ge 0.3324 0.5000 0.6665 (multiplicity 1)
Mo 0.0242 0.5000 0.7148 (multiplicity 1)
Mo 0.2837 0.5000 0.3103 (multiplicity 1)
Mo 0.6661 0.5000 0.3325 (multiplicity 1)
Mo 0.6891 0.5000 0.9727 (multiplicity 1)
Se 0.4646 0.0000 0.0416 (multiplicity 1)
Se 0.5765 0.0000 0.5345 (multiplicity 1)
Se 0.9577 0.0000 0.4225 (multiplicity 1)


Entry 2:
Starting from a cell relaxed with PBE, the powder XRD pattern of ZrGe2Mo was calculated for copper Kα.

Largest 6 diffraction maxima, by angle, 15° ≤ 2θ ≤ 90°:
- (1 1 1), 2θ 23.4, rel. 2
- (2 2 0), 2θ 38.7, rel. 100
- (3 1 1), 2θ 45.8, rel. 1
- (4 0 0), 2θ 55.9, rel. 17
- (4 2 2), 2θ 70.1, rel. 33
- (4 4 0), 2θ 83.1, rel. 11

Structure:
Lattice parameters (Å, degrees): 6.5774 6.5774 6.5774 90.00 90.00 90.00
Space group F-43m (No. 216)
Inequivalent atoms, fractional coordinates:
Zr 0.0000 0.0000 0.0000 (multiplicity 4)
Ge 0.0000 0.0000 0.5000 (multiplicity 4)
Ge 0.2500 0.2500 0.2500 (multiplicity 4)
Mo 0.2500 0.2500 0.7500 (multiplicity 4)